Record 1
Structure and theoretical powder diffractogram of La3Tb2PmS6 (the PBE geometry in Alexandria; Cu Ka).

Most intense lines, 2θ = 5–70°, sorted by position:
- 26.77 deg, I = 19
- 26.96 deg, I = 56
- 31.17 deg, I = 100
- 44.54 deg, I = 36
- 44.79 deg, I = 36
- 52.92 deg, I = 13
- 53.03 deg, I = 15
- 55.53 deg, I = 13

Structure:
```
La3Tb2PmS6
1.0
3.5011 -6.0775 0.0000
3.5011 6.0775 0.0000
-2.3449 0.0000 6.6614
La Tb Pm S
3 2 1 6
Cartesian
0.0000 0.0000 0.0000
3.5011 1.9995 0.0000
3.5011 -1.9995 0.0000
2.3286 4.0523 3.3307
2.3286 -4.0523 3.3307
2.3286 0.0000 3.3307
1.1444 2.0614 1.7608
-0.0499 0.0000 4.8866
1.1444 -2.0614 1.7608
3.5128 2.0614 4.9006
4.7071 0.0000 1.7748
3.5128 -2.0614 4.9006
```

---

Record 2
Structure and theoretical powder diffractogram of KIn8Ag4 (the PBE geometry in Alexandria; Cu Ka).

Most intense lines, 2θ = 5–70°, sorted by position:
- 30.10 deg, I = 34
- 34.74 deg, I = 63
- 34.85 deg, I = 84
- 35.20 deg, I = 64
- 38.99 deg, I = 56
- 39.10 deg, I = 51
- 39.41 deg, I = 100
- 62.57 deg, I = 28

Structure:
```
KIn8Ag4
1.0
-5.1652 5.1652 2.9317
5.1652 -5.1652 2.9317
5.1652 5.1652 -2.9317
K In Ag
1 8 4
Cartesian
0.0000 0.0000 0.0000
3.6109 0.0000 0.0000
6.7196 0.0000 0.0000
5.1652 2.9194 0.0000
0.0000 3.6109 0.0000
2.9194 5.1652 0.0000
2.2458 0.0000 2.9317
0.0000 6.7196 0.0000
0.0000 2.2458 2.9317
2.5826 2.5826 -1.4658
2.5826 -2.5826 1.4658
-2.5826 2.5826 1.4658
2.5826 2.5826 1.4658
```

---

Record 3
Structure and theoretical powder diffractogram of Ti7SbC2 (the PBE geometry in Alexandria; Cu Ka).

Most intense lines, 2θ = 5–70°, sorted by position:
- 26.29 deg, I = 59
- 33.56 deg, I = 94
- 35.18 deg, I = 100
- 39.43 deg, I = 65
- 41.92 deg, I = 86
- 43.67 deg, I = 51
- 45.45 deg, I = 51
- 62.13 deg, I = 49

Structure:
```
Ti7SbC2
1.0
3.4915 -5.4786 0.0000
3.4915 5.4786 0.0000
0.0000 0.0000 4.1458
Ti Sb C
7 1 2
Cartesian
0.0000 0.0000 0.0000
2.0522 1.4817 0.0000
3.4915 3.0235 2.0729
2.0522 -1.4817 0.0000
4.9309 1.4817 0.0000
3.4915 -3.0235 2.0729
4.9309 -1.4817 0.0000
3.4915 0.0000 2.0729
3.4915 3.2265 0.0000
3.4915 -3.2265 0.0000
```

---

Record 4
Structure and theoretical powder diffractogram of Er8P3S4O (the PBE geometry in Alexandria; Cu Ka).

Most intense lines, 2θ = 5–70°, sorted by position:
- 28.17 deg, I = 23
- 28.42 deg, I = 69
- 32.86 deg, I = 100
- 46.99 deg, I = 35
- 47.31 deg, I = 36
- 55.97 deg, I = 21
- 58.80 deg, I = 18
- 68.89 deg, I = 11

Structure:
```
Er8P3S4O
1.0
3.8425 2.2185 6.3367
-3.8425 2.2185 6.3367
0.0000 -4.4370 6.3367
Er P S O
8 3 4 1
Cartesian
0.0000 0.0000 4.7088
-1.8521 -1.0693 10.9834
0.0000 -2.1386 8.0266
-1.8521 1.0693 8.0266
1.8521 -1.0693 10.9834
0.0000 2.1386 10.9834
1.8521 1.0693 8.0266
0.0000 0.0000 14.3013
-3.8425 0.0000 9.5050
-1.9213 1.1092 3.1683
1.9213 1.1092 3.1683
0.0000 0.0000 0.0000
-1.9213 -1.1092 6.3367
-1.9213 1.1092 12.6734
0.0000 2.2185 6.3367
0.0000 0.0000 9.5050
```

---

Record 5
Structure and theoretical powder diffractogram of CdHgTe2 (the PBE geometry in Alexandria; Cu Ka).

Most intense lines, 2θ = 5–70°, sorted by position:
- 15.02 deg, I = 49
- 24.15 deg, I = 67
- 30.78 deg, I = 100
- 38.14 deg, I = 58
- 40.83 deg, I = 79
- 45.65 deg, I = 24
- 61.37 deg, I = 24
- 64.40 deg, I = 24

Structure:
```
CdHgTe2
1.0
4.7193 0.0000 0.0000
0.0000 4.7193 0.0000
0.0000 0.0000 11.7981
Cd Hg Te
2 2 4
Cartesian
1.1798 3.5394 2.9495
3.5394 1.1798 8.8485
1.1798 3.5394 8.8485
3.5394 1.1798 2.9495
1.1798 1.1798 1.1745
1.1798 1.1798 7.0735
3.5394 3.5394 4.7246
3.5394 3.5394 10.6236
```

---

Record 6
Structure and theoretical powder diffractogram of Sm2TmTl (the PBE geometry in Alexandria; Cu Ka).

Most intense lines, 2θ = 5–70°, sorted by position:
- 30.11 deg, I = 95
- 30.35 deg, I = 33
- 32.72 deg, I = 38
- 33.47 deg, I = 100
- 34.50 deg, I = 81
- 34.79 deg, I = 41
- 53.63 deg, I = 44
- 64.66 deg, I = 26

Structure:
```
Sm2TmTl
1.0
6.7830 0.0000 0.0000
0.0000 8.7255 0.0000
0.0000 0.0000 8.0982
Sm Tm Tl
8 4 4
Cartesian
1.6957 0.4226 2.0246
1.6957 3.9401 2.0246
1.6957 4.7853 6.0737
1.6957 8.3029 6.0737
5.0872 0.4226 2.0246
5.0872 3.9401 2.0246
5.0872 4.7853 6.0737
5.0872 8.3029 6.0737
0.0000 2.1814 4.5780
0.0000 6.5441 3.5203
3.3915 2.1814 7.5694
3.3915 6.5441 0.5288
0.0000 2.1814 7.6880
0.0000 6.5441 0.4102
3.3915 2.1814 4.4593
3.3915 6.5441 3.6389
```

---

Record 7
Structure and theoretical powder diffractogram of Ac3La2Tl2 (the PBE geometry in Alexandria; Cu Ka).

Most intense lines, 2θ = 5–70°, sorted by position:
- 29.54 deg, I = 100
- 29.73 deg, I = 95
- 30.56 deg, I = 41
- 35.38 deg, I = 31
- 36.84 deg, I = 28
- 47.18 deg, I = 28
- 56.66 deg, I = 33
- 61.31 deg, I = 26

Structure:
```
Ac3La2Tl2
1.0
4.8801 0.0000 0.0000
0.0000 26.9686 0.0000
0.0000 0.0000 3.8525
Ac La Tl
6 4 4
Cartesian
0.0000 0.0000 0.0000
0.0000 3.7489 0.0000
0.0000 23.2198 0.0000
2.4400 9.7355 0.0000
2.4400 13.4843 0.0000
2.4400 17.2332 0.0000
0.0000 7.6756 1.9263
0.0000 19.2930 1.9263
2.4400 5.8087 1.9263
2.4400 21.1599 1.9263
0.0000 11.4800 1.9263
0.0000 15.4886 1.9263
2.4400 2.0043 1.9263
2.4400 24.9643 1.9263
```

---

Record 8
Structure and theoretical powder diffractogram of UGa2Tc2 (the PBE geometry in Alexandria; Cu Ka).

Most intense lines, 2θ = 5–70°, sorted by position:
- 8.51 deg, I = 63
- 22.65 deg, I = 69
- 24.19 deg, I = 58
- 34.89 deg, I = 100
- 35.35 deg, I = 89
- 38.98 deg, I = 97
- 41.50 deg, I = 91
- 43.53 deg, I = 83

Structure:
```
UGa2Tc2
1.0
10.4818 0.0000 0.0000
0.0000 6.0767 0.0000
-0.7114 0.0000 5.5017
U Ga Tc
4 8 8
Cartesian
1.8894 0.5285 1.0081
1.5337 2.5099 3.7589
8.2367 3.5668 1.7428
7.8810 5.5482 4.4936
1.9973 3.6391 1.0173
1.6416 5.4759 3.7681
3.7578 0.8265 4.9076
4.1135 2.2119 2.1568
5.6569 3.8648 3.3449
6.0126 5.2502 0.5941
8.1288 0.6008 1.7335
7.7731 2.4375 4.4844
-0.4038 1.1328 3.6594
-0.0481 1.9056 0.9086
3.3205 3.6501 4.6708
3.6762 5.4649 1.9199
6.0943 0.6118 3.5817
6.4500 2.4266 0.8309
9.8185 4.1711 4.5931
10.1742 4.9439 1.8422
```